Record 1
# LiB11
Theoretical PXRD pattern, Cu Kα (λ = 1.5418 Å). Input: a structure optimized by DFT (GGA-PBE).
Kinematic intensities with the Lorentz-polarization factor, no thermal factor.

The 10 most intense peaks (15 to 90 degrees two-theta), sorted by position:
d (Å)  two_theta  I (rel.)  hkl
4.040  22.00  37  1 1 1
3.498  25.46  100  2 0 0
2.474  36.32  24  2 2 0
2.020  44.88  84  2 2 2
1.605  57.41  42  3 3 1
1.564  59.04  17  4 2 0
1.428  65.34  15  4 2 2
1.347  69.85  77  3 3 3
1.237  77.11  13  4 4 0
1.166  82.77  13  4 4 2

Structure:
abc: 6.997 6.997 6.997
angles: 90.00 90.00 90.00
Space group F-43m (No. 216)
One atom of each set of equivalent atoms:
Li 0.000 0.000 0.000 (multiplicity 4)
B 0.000 0.000 0.500 (multiplicity 4)
B 0.071 0.250 0.750 (multiplicity 24)
B 0.157 0.157 0.343 (multiplicity 16)



Record 2
# MgCuO2
Theoretical PXRD pattern, Cu Kα (λ = 1.5418 Å). Input: a structure optimized by DFT (GGA-PBE).
Kinematic intensities with the Lorentz-polarization factor, no thermal factor.

The 10 most intense peaks (15 to 90 degrees two-theta), sorted by position:
d (Å)  two_theta  I (rel.)  hkl
5.876  15.08  100  0 1 -1
4.087  21.75  51  0 2 0
3.700  24.05  67  0 2 -1
3.617  24.61  51  0 1 2
2.938  30.42  46  0 2 -2
2.732  32.78  60  0 0 3
2.559  35.07  52  0 3 1
2.535  35.41  61  1 -1 1
2.525  35.55  75  1 0 -2
1.809  50.45  86  1 -4 0

Structure:
abc: 2.892 8.292 8.319
angles: 90.07 99.72 99.95
Space group P-1 (No. 2)
One atom of each set of equivalent atoms:
Mg 0.083 0.427 0.228 (multiplicity 2)
Mg 0.292 0.209 0.878 (multiplicity 2)
Cu 0.099 0.889 0.809 (multiplicity 2)
Cu 0.318 0.690 0.442 (multiplicity 2)
O 0.089 0.267 0.411 (multiplicity 2)
O 0.304 0.392 0.725 (multiplicity 2)
O 0.314 0.944 0.184 (multiplicity 2)
O 0.455 0.288 0.107 (multiplicity 2)



What did the second record say?
# MgCuO2
Theoretical PXRD pattern, Cu Kα (λ = 1.5418 Å). Input: a structure optimized by DFT (GGA-PBE).
Kinematic intensities with the Lorentz-polarization factor, no thermal factor.

The 10 most intense peaks (15 to 90 degrees two-theta), sorted by position:
d (Å)  two_theta  I (rel.)  hkl
5.876  15.08  100  0 1 -1
4.087  21.75  51  0 2 0
3.700  24.05  67  0 2 -1
3.617  24.61  51  0 1 2
2.938  30.42  46  0 2 -2
2.732  32.78  60  0 0 3
2.559  35.07  52  0 3 1
2.535  35.41  61  1 -1 1
2.525  35.55  75  1 0 -2
1.809  50.45  86  1 -4 0

Structure:
abc: 2.892 8.292 8.319
angles: 90.07 99.72 99.95
Space group P-1 (No. 2)
One atom of each set of equivalent atoms:
Mg 0.083 0.427 0.228 (multiplicity 2)
Mg 0.292 0.209 0.878 (multiplicity 2)
Cu 0.099 0.889 0.809 (multiplicity 2)
Cu 0.318 0.690 0.442 (multiplicity 2)
O 0.089 0.267 0.411 (multiplicity 2)
O 0.304 0.392 0.725 (multiplicity 2)
O 0.314 0.944 0.184 (multiplicity 2)
O 0.455 0.288 0.107 (multiplicity 2)